# 1
# ZrCo3B2O8
Simulated powder diffraction line list, λ = 1.5418 Å (Cu Kα). Input: DFT lattice parameters and positions (PBE+U).
Peak positions follow from Bragg's law for the DFT cell and can differ from measured ones.

Structural model:
Lattice parameters (Å, degrees): 3.332 9.375 9.563 90.00 90.00 90.00
Space group Pmc2_1 (No. 26)
Symmetry-distinct sites (fractional):
Zr 0.000 0.165 0.000 [2 per cell]
Co 0.000 0.441 0.501 [2 per cell]
Co 0.500 0.078 0.694 [2 per cell]
Co 0.500 0.333 0.225 [2 per cell]
B 0.000 0.122 0.420 [2 per cell]
B 0.500 0.374 0.773 [2 per cell]
O 0.000 0.001 0.834 [2 per cell]
O 0.000 0.084 0.561 [2 per cell]
O 0.000 0.258 0.372 [2 per cell]
O 0.000 0.363 0.090 [2 per cell]
O 0.500 0.130 0.120 [2 per cell]
O 0.500 0.239 0.846 [2 per cell]
O 0.500 0.370 0.631 [2 per cell]
O 0.500 0.496 0.853 [2 per cell]

Most intense lines, 15° ≤ 2θ ≤ 90°, by angle:
| 2θ/deg | intensity |
| --- | --- |
| 21.11 | 46 |
| 32.76 | 100 |
| 34.01 | 31 |
| 34.30 | 60 |
| 55.72 | 21 |
| 59.08 | 25 |

---

# 2
# NaMg3V3Cr3Si6B3H3O31
Simulated powder diffraction line list, λ = 1.5418 Å (Cu Kα). Input: DFT lattice parameters and positions (PBE+U).
Peak positions follow from Bragg's law for the DFT cell and can differ from measured ones.

Structural model:
Lattice parameters (Å, degrees): 7.617 9.791 9.815 113.34 105.14 104.99
Space group P1 (No. 1)
Symmetry-distinct sites (fractional):
Na 0.000 0.000 0.000 [1 per cell]
Mg 0.321 0.665 0.435 [1 per cell]
Mg 0.653 0.770 0.338 [1 per cell]
Mg 0.656 0.337 0.772 [1 per cell]
V 0.469 0.813 0.807 [1 per cell]
V 0.638 0.182 0.000 [1 per cell]
V 0.653 0.997 0.192 [1 per cell]
Cr 0.323 0.439 0.664 [1 per cell]
Cr 0.882 0.227 0.564 [1 per cell]
Cr 0.884 0.564 0.228 [1 per cell]
Si 0.044 0.808 0.623 [1 per cell]
Si 0.045 0.623 0.807 [1 per cell]
Si 0.230 0.814 0.188 [1 per cell]
Si 0.231 0.188 0.814 [1 per cell]
Si 0.416 0.377 0.184 [1 per cell]
Si 0.417 0.186 0.376 [1 per cell]
B 0.662 0.670 0.999 [1 per cell]
B 0.667 0.001 0.670 [1 per cell]
B 0.988 0.331 0.329 [1 per cell]
H 0.586 0.612 0.615 [1 per cell]
H 0.969 0.382 0.003 [1 per cell]
H 0.972 0.003 0.386 [1 per cell]
O 0.050 0.474 0.330 [1 per cell]
O 0.055 0.326 0.472 [1 per cell]
O 0.070 0.999 0.723 [1 per cell]
O 0.072 0.725 0.996 [1 per cell]
O 0.150 0.717 0.274 [1 per cell]
O 0.159 0.279 0.717 [1 per cell]
O 0.233 0.270 0.998 [1 per cell]
O 0.234 0.000 0.271 [1 per cell]
O 0.258 0.627 0.797 [1 per cell]
O 0.258 0.801 0.632 [1 per cell]
O 0.348 0.271 0.270 [1 per cell]
O 0.432 0.282 0.559 [1 per cell]
O 0.437 0.558 0.279 [1 per cell]
O 0.452 0.829 0.198 [1 per cell]
O 0.455 0.198 0.831 [1 per cell]
O 0.457 0.609 0.614 [1 per cell]
O 0.477 0.016 0.005 [1 per cell]
O 0.577 0.526 0.855 [1 per cell]
O 0.589 0.856 0.534 [1 per cell]
O 0.626 0.371 0.168 [1 per cell]
O 0.629 0.174 0.380 [1 per cell]
O 0.669 0.817 0.999 [1 per cell]
O 0.675 0.007 0.822 [1 per cell]
O 0.738 0.677 0.145 [1 per cell]
O 0.740 0.149 0.678 [1 per cell]
O 0.841 0.381 0.006 [1 per cell]
O 0.846 0.006 0.390 [1 per cell]
O 0.854 0.185 0.183 [1 per cell]
O 0.883 0.438 0.718 [1 per cell]
O 0.883 0.718 0.437 [1 per cell]
O 0.964 0.728 0.727 [1 per cell]

Most intense lines, 15° ≤ 2θ ≤ 90°, by angle:
| 2θ/deg | intensity |
| --- | --- |
| 20.23 | 69 |
| 21.67 | 100 |
| 24.20 | 74 |
| 28.73 | 99 |
| 33.58 | 53 |
| 33.69 | 94 |

---

# 3
# Li9Cr4B8O24
Simulated powder diffraction line list, λ = 1.5418 Å (Cu Kα). Input: DFT lattice parameters and positions (PBE+U).
Peak positions follow from Bragg's law for the DFT cell and can differ from measured ones.

Structural model:
Lattice parameters (Å, degrees): 6.039 8.944 9.460 65.63 88.99 89.38
Space group P1 (No. 1)
Symmetry-distinct sites (fractional):
Li 0.000 0.000 0.000 [1 per cell]
Li 0.004 0.457 0.925 [1 per cell]
Li 0.178 0.156 0.587 [1 per cell]
Li 0.296 0.559 0.255 [1 per cell]
Li 0.510 0.237 0.400 [1 per cell]
Li 0.523 0.233 0.911 [1 per cell]
Li 0.541 0.722 0.341 [1 per cell]
Li 0.668 0.578 0.751 [1 per cell]
Li 0.968 0.981 0.488 [1 per cell]
Cr 0.214 0.615 0.635 [1 per cell]
Cr 0.282 0.084 0.196 [1 per cell]
Cr 0.716 0.084 0.694 [1 per cell]
Cr 0.795 0.615 0.137 [1 per cell]
B 0.026 0.800 0.832 [1 per cell]
B 0.085 0.305 0.227 [1 per cell]
B 0.422 0.401 0.601 [1 per cell]
B 0.465 0.905 0.994 [1 per cell]
B 0.533 0.907 0.491 [1 per cell]
B 0.590 0.397 0.104 [1 per cell]
B 0.902 0.309 0.717 [1 per cell]
B 0.972 0.795 0.339 [1 per cell]
O 0.014 0.773 0.488 [1 per cell]
O 0.032 0.456 0.221 [1 per cell]
O 0.036 0.943 0.222 [1 per cell]
O 0.083 0.269 0.099 [1 per cell]
O 0.121 0.673 0.812 [1 per cell]
O 0.180 0.176 0.356 [1 per cell]
O 0.341 0.534 0.474 [1 per cell]
O 0.348 0.030 0.012 [1 per cell]
O 0.435 0.426 0.736 [1 per cell]
O 0.463 0.250 0.599 [1 per cell]
O 0.477 0.938 0.336 [1 per cell]
O 0.483 0.757 0.601 [1 per cell]
O 0.511 0.756 0.112 [1 per cell]
O 0.517 0.255 0.104 [1 per cell]
O 0.528 0.940 0.840 [1 per cell]
O 0.567 0.439 0.231 [1 per cell]
O 0.650 0.027 0.513 [1 per cell]
O 0.712 0.516 0.985 [1 per cell]
O 0.810 0.175 0.844 [1 per cell]
O 0.852 0.685 0.302 [1 per cell]
O 0.905 0.275 0.586 [1 per cell]
O 0.952 0.785 0.981 [1 per cell]
O 0.963 0.450 0.725 [1 per cell]
O 0.991 0.955 0.712 [1 per cell]

Most intense lines, 15° ≤ 2θ ≤ 90°, by angle:
| 2θ/deg | intensity |
| --- | --- |
| 18.51 | 78 |
| 18.81 | 54 |
| 20.62 | 53 |
| 23.07 | 100 |
| 23.21 | 64 |
| 38.37 | 28 |

---

# 4
# LiCrB2O5
Simulated powder diffraction line list, λ = 1.5418 Å (Cu Kα). Input: DFT lattice parameters and positions (PBE+U).
Peak positions follow from Bragg's law for the DFT cell and can differ from measured ones.

Structural model:
Lattice parameters (Å, degrees): 6.946 9.583 5.642 90.00 107.09 90.00
Space group P2_1/c (No. 14)
Symmetry-distinct sites (fractional):
Li 0.214 0.063 0.177 [4 per cell]
Cr 0.246 0.673 0.285 [4 per cell]
B 0.087 0.115 0.671 [4 per cell]
B 0.452 0.088 0.739 [4 per cell]
O 0.071 0.505 0.294 [4 per cell]
O 0.075 0.701 0.928 [4 per cell]
O 0.271 0.163 0.647 [4 per cell]
O 0.372 0.661 0.665 [4 per cell]
O 0.463 0.553 0.237 [4 per cell]

Most intense lines, 15° ≤ 2θ ≤ 90°, by angle:
| 2θ/deg | intensity |
| --- | --- |
| 16.24 | 100 |
| 20.16 | 47 |
| 25.87 | 25 |
| 32.82 | 23 |
| 33.23 | 38 |
| 33.37 | 37 |

---

# 5
# LiCrBO3
Simulated powder diffraction line list, λ = 1.5418 Å (Cu Kα). Input: DFT lattice parameters and positions (PBE+U).
Peak positions follow from Bragg's law for the DFT cell and can differ from measured ones.

Structural model:
Lattice parameters (Å, degrees): 3.176 14.256 14.263 60.04 89.11 89.12
Space group P1 (No. 1)
Symmetry-distinct sites (fractional):
Li 0.000 0.000 0.000 [1 per cell]
Li 0.003 0.969 0.676 [1 per cell]
Li 0.014 0.977 0.384 [1 per cell]
Li 0.046 0.698 0.647 [1 per cell]
Li 0.938 0.616 0.331 [1 per cell]
Li 0.961 0.353 0.315 [1 per cell]
Li 0.973 0.645 0.032 [1 per cell]
Li 0.982 0.284 0.009 [1 per cell]
Li 0.995 0.300 0.730 [1 per cell]
Cr 0.440 0.421 0.474 [1 per cell]
Cr 0.465 0.783 0.122 [1 per cell]
Cr 0.471 0.418 0.092 [1 per cell]
Cr 0.480 0.442 0.783 [1 per cell]
Cr 0.482 0.135 0.450 [1 per cell]
Cr 0.506 0.060 0.167 [1 per cell]
Cr 0.511 0.091 0.771 [1 per cell]
Cr 0.514 0.740 0.814 [1 per cell]
Cr 0.547 0.751 0.451 [1 per cell]
B 0.004 0.862 0.245 [1 per cell]
B 0.457 0.540 0.219 [1 per cell]
B 0.493 0.187 0.918 [1 per cell]
B 0.520 0.887 0.571 [1 per cell]
B 0.978 0.215 0.569 [1 per cell]
B 0.986 0.204 0.236 [1 per cell]
B 0.989 0.537 0.894 [1 per cell]
B 0.989 0.538 0.569 [1 per cell]
B 0.997 0.871 0.903 [1 per cell]
O 0.005 0.786 0.882 [1 per cell]
O 0.012 0.198 0.673 [1 per cell]
O 0.015 0.977 0.817 [1 per cell]
O 0.017 0.966 0.157 [1 per cell]
O 0.026 0.642 0.805 [1 per cell]
O 0.045 0.847 0.350 [1 per cell]
O 0.054 0.646 0.538 [1 per cell]
O 0.443 0.559 0.305 [1 per cell]
O 0.460 0.434 0.238 [1 per cell]
O 0.467 0.629 0.114 [1 per cell]
O 0.489 0.206 0.005 [1 per cell]
O 0.490 0.274 0.814 [1 per cell]
O 0.501 0.082 0.934 [1 per cell]
O 0.507 0.902 0.660 [1 per cell]
O 0.507 0.973 0.465 [1 per cell]
O 0.545 0.782 0.589 [1 per cell]
O 0.925 0.508 0.492 [1 per cell]
O 0.947 0.319 0.480 [1 per cell]
O 0.951 0.775 0.229 [1 per cell]
O 0.968 0.522 0.998 [1 per cell]
O 0.969 0.851 0.009 [1 per cell]
O 0.973 0.126 0.553 [1 per cell]
O 0.973 0.448 0.879 [1 per cell]
O 0.974 0.305 0.142 [1 per cell]
O 0.986 0.199 0.336 [1 per cell]
O 0.988 0.461 0.678 [1 per cell]
O 0.996 0.110 0.230 [1 per cell]

Most intense lines, 15° ≤ 2θ ≤ 90°, by angle:
| 2θ/deg | intensity |
| --- | --- |
| 21.59 | 100 |
| 33.24 | 29 |
| 35.55 | 23 |
| 35.87 | 23 |
| 37.85 | 21 |
| 43.98 | 12 |

---

Which formula does entry 3 have? Li9Cr4B8O24

---

Number 2 is which compound? NaMg3V3Cr3Si6B3H3O31

---

What is the formula in the third record? Li9Cr4B8O24